# KMg6Zr
Simulated X-ray diffraction stick pattern, λ = 1.5418 Å (Cu Kα). Input: the GGA-PBE geometry in the Materials Project.

Cell and atoms:
Cell: 4.7021 9.4326 9.4528 Å, 90.00 90.00 90.00°
Space group Amm2 (No. 38)
One atom of each set of equivalent atoms:
K1 0.0000 0.0000 0.0000 [2 per cell]
Mg1 0.0000 0.2448 0.7448 [4 per cell]
Mg2 0.5000 0.0000 0.2696 [2 per cell]
Mg3 0.5000 0.0000 0.7193 [2 per cell]
Mg4 0.5000 0.2255 0.4924 [4 per cell]
Zr1 0.0000 0.0000 0.4924 [2 per cell]

The 6 most intense peaks (2θ from 5° to 70°), sorted by position:
hkl 0 1 1, d 6.677, 2θ 13.26, I = 26
hkl 0 2 0, d 4.715, 2θ 18.82, I = 28
hkl 0 2 2, d 3.334, 2θ 26.74, I = 22
hkl 1 2 2, d 2.722, 2θ 32.90, I = 100
hkl 0 4 0, d 2.361, 2θ 38.12, I = 32
hkl 2 0 4, d 1.668, 2θ 55.06, I = 20